Diffraction record for BaCo2As2O8. The powder diffractogram is computed, not measured: it uses a DFT-relaxed cell (GGA+U, the Materials Project) and Cu Kα (weighted mean of Kα1 and Kα2).

Structural model:
```
data_BaCo2As2O8
_cell_length_a 5.0627
_cell_length_b 5.0627
_cell_length_c 24.2774
_cell_angle_alpha 90.00
_cell_angle_beta 90.00
_cell_angle_gamma 120.00
_symmetry_space_group_name_H-M 'R -3'
_symmetry_Int_Tables_number 148
_symmetry_space_group_name_Hall '-R 3'
loop_
_atom_site_label
_atom_site_fract_x
_atom_site_fract_y
_atom_site_fract_z
Ba1 0.0000 0.0000 0.0000
Co1 0.0000 0.0000 0.1696
As1 0.0000 0.0000 0.4273
O1 0.0000 0.0000 0.3575
O2 0.0003 0.3437 0.7825
```

Principal peaks in the range 2θ = 10–90°, low angle first:
hkl	d_spacing	2θ/deg	intensity
0 1 2	4.124	21.55	45
0 1 5	3.254	27.41	100
1 0 7	2.720	32.93	59
1 1 0	2.531	35.46	82
2 0 5	1.998	45.39	26
2 -1 12	1.580	58.39	36